Starting from a structure optimized by DFT (PBE), the powder XRD pattern of Th2BeAsPt6 was calculated for Cu Kα X-rays.
Intensities are scaled so that the largest is 100.

Structural model:
abc: 9.194 9.194 9.194
angles: 90.00 90.00 90.00
Space group Fm-3m (No. 225)
Unique sites:
Th1 0.250 0.250 0.250 (multiplicity 8)
Be1 0.000 0.000 0.000 (multiplicity 4)
As1 0.000 0.000 0.500 (multiplicity 4)
Pt1 0.000 0.000 0.236 (multiplicity 24)

Peak list (6 most intense, 2θ = 10–90°, low angle first)
index  2theta  I_rel
2 2 2  33.8  100
4 0 0  39.2  62
4 4 0  56.6  42
6 2 2  67.6  39
4 4 4  71.0  14
8 0 0  84.3  7

Starting from a structure optimized by DFT (PBE), the powder XRD pattern of Pu2BeAs4 was calculated for Cu Kα X-rays.
Intensities are scaled so that the largest is 100.

Structural model:
abc: 3.944 3.944 8.970
angles: 90.00 90.00 90.00
Space group P-4m2 (No. 115)
Unique sites:
Pu1 0.000 0.500 0.243 (multiplicity 2)
Be1 0.500 0.500 0.000 (multiplicity 1)
As1 0.000 0.000 0.500 (multiplicity 1)
As2 0.000 0.500 0.864 (multiplicity 2)
As3 0.500 0.500 0.500 (multiplicity 1)

Peak list (6 most intense, 2θ = 10–90°, low angle first)
index  2theta  I_rel
1 0 1  24.7  86
1 1 0  32.1  39
1 0 3  37.8  72
1 1 2  38.0  100
2 0 0  46.0  42
2 1 3  61.0  37